# 1
Co3Os3W2: simulated powder XRD pattern (λ = 1.5418 Å (Cu Kα)), based on the GGA-PBE geometry in OQMD.

Main lines, low angle first (2θ from 10° to 90°):
2θ/deg, intensity
19.1, 25
28.4, 20
38.6, 29
42.5, 39
44.3, 100
44.5, 54
58.7, 17
70.1, 17
79.0, 18
85.5, 20

Atomic structure:
```
Co3Os3W2
1.0
4.259 0.000 0.000
0.000 5.396 0.000
0.000 0.000 9.282
Co Os W
6 6 4
direct
0.000 0.000 0.000
0.000 0.500 0.500
0.500 0.240 0.073
0.500 0.260 0.573
0.500 0.740 0.573
0.500 0.760 0.073
0.000 0.249 0.737
0.000 0.251 0.237
0.000 0.749 0.237
0.000 0.751 0.737
0.500 0.000 0.326
0.500 0.500 0.826
0.000 0.000 0.496
0.000 0.500 0.996
0.500 0.000 0.835
0.500 0.500 0.335
```

# 2
Li4ZnSiIr2: simulated powder XRD pattern (λ = 1.5418 Å (Cu Kα)), based on the GGA-PBE geometry in OQMD.

Main lines, low angle first (2θ from 10° to 90°):
2θ/deg, intensity
26.2, 100
30.2, 19
30.5, 8
43.3, 24
43.5, 42
51.3, 32
51.6, 12
69.6, 10
79.5, 14
85.4, 8

Atomic structure:
```
Li4ZnSiIr2
1.0
4.180 0.000 0.000
0.000 4.180 0.000
0.000 0.000 5.863
Li Zn Si Ir
4 1 1 2
direct
0.000 0.000 0.000
0.000 0.500 0.748
0.500 0.000 0.252
0.500 0.500 0.500
0.000 0.000 0.500
0.500 0.500 0.000
0.000 0.500 0.222
0.500 0.000 0.778
```

# 3
BaMg4Cd8: simulated powder XRD pattern (λ = 1.5418 Å (Cu Kα)), based on the GGA-PBE geometry in OQMD.

Main lines, low angle first (2θ from 10° to 90°):
2θ/deg, intensity
24.9, 18
29.6, 48
30.4, 43
34.6, 24
35.3, 100
35.5, 30
39.0, 29
39.7, 33
56.2, 25
63.6, 26

Atomic structure:
```
BaMg4Cd8
1.0
-5.057 5.057 3.019
5.057 -5.057 3.019
5.057 5.057 -3.019
Ba Mg Cd
1 4 8
direct
0.000 0.000 0.000
0.000 0.000 0.500
0.000 0.500 0.000
0.500 0.000 0.000
0.500 0.500 0.500
0.000 0.352 0.352
0.000 0.648 0.648
0.278 0.500 0.778
0.352 0.000 0.352
0.500 0.278 0.778
0.500 0.722 0.222
0.648 0.000 0.648
0.722 0.500 0.222
```

# 4
AgIrW2: simulated powder XRD pattern (λ = 1.5418 Å (Cu Kα)), based on the GGA-PBE geometry in OQMD.

Main lines, low angle first (2θ from 10° to 90°):
2θ/deg, intensity
24.3, 3
28.1, 2
40.2, 100
47.5, 1
49.7, 1
58.1, 17
63.9, 1
65.8, 1
73.0, 35
86.7, 11

Atomic structure:
```
AgIrW2
1.0
6.350 0.000 0.000
0.000 6.350 0.000
0.000 0.000 6.350
Ag Ir W
4 4 8
direct
0.000 0.000 0.000
0.000 0.500 0.500
0.500 0.000 0.500
0.500 0.500 0.000
0.250 0.250 0.750
0.250 0.750 0.250
0.750 0.250 0.250
0.750 0.750 0.750
0.000 0.000 0.500
0.000 0.500 0.000
0.250 0.250 0.250
0.250 0.750 0.750
0.500 0.000 0.000
0.500 0.500 0.500
0.750 0.250 0.750
0.750 0.750 0.250
```

# 5
UI4: simulated powder XRD pattern (λ = 1.5418 Å (Cu Kα)), based on the GGA-PBE geometry in OQMD.

Main lines, low angle first (2θ from 10° to 90°):
2θ/deg, intensity
11.1, 100
17.8, 26
18.5, 36
25.9, 68
26.7, 46
27.3, 54
31.3, 49
34.2, 30
36.4, 30
48.1, 26

Atomic structure:
```
UI4
1.0
6.022 -4.793 0.000
6.022 4.793 0.000
-0.571 0.000 7.967
U I
2 8
direct
0.194 0.194 0.446
0.806 0.806 0.554
0.050 0.050 0.748
0.171 0.551 0.659
0.325 0.325 0.155
0.449 0.829 0.341
0.551 0.171 0.659
0.675 0.675 0.845
0.829 0.449 0.341
0.950 0.950 0.252
```

# 6
ZnH8C9SN4O4: simulated powder XRD pattern (λ = 1.5418 Å (Cu Kα)), based on the GGA-PBE geometry in OQMD.

Main lines, low angle first (2θ from 10° to 90°):
2θ/deg, intensity
10.0, 74
10.9, 47
13.9, 55
18.6, 35
19.3, 42
20.3, 100
21.9, 79
23.0, 23
27.5, 55
30.6, 28

Atomic structure:
```
ZnH8C9SN4O4
1.0
7.759 0.000 0.000
3.160 8.170 0.000
3.486 1.115 8.813
Zn H C S N O
2 16 18 2 8 8
direct
0.167 0.412 0.124
0.833 0.588 0.876
0.082 0.802 0.040
0.202 0.419 0.572
0.204 0.948 0.442
0.228 0.708 0.148
0.394 0.854 0.530
0.397 0.038 0.394
0.431 0.974 0.877
0.439 0.167 0.904
0.561 0.833 0.096
0.569 0.026 0.123
0.603 0.962 0.606
0.606 0.146 0.470
0.772 0.292 0.852
0.796 0.052 0.558
0.798 0.581 0.428
0.918 0.198 0.960
0.023 0.987 0.745
0.228 0.071 0.076
0.260 0.468 0.811
0.306 0.970 0.484
0.333 0.455 0.540
0.382 0.492 0.651
0.390 0.403 0.284
0.420 0.047 0.961
0.450 0.460 0.389
0.550 0.540 0.611
0.580 0.953 0.039
0.610 0.597 0.716
0.618 0.508 0.349
0.667 0.545 0.460
0.694 0.030 0.516
0.740 0.532 0.189
0.772 0.929 0.924
0.977 0.013 0.255
0.171 0.104 0.630
0.829 0.896 0.370
0.030 0.839 0.728
0.129 0.195 0.159
0.133 0.955 0.132
0.194 0.809 0.069
0.806 0.191 0.931
0.867 0.045 0.868
0.871 0.805 0.841
0.970 0.161 0.272
0.105 0.431 0.840
0.238 0.508 0.250
0.324 0.475 0.915
0.466 0.260 0.250
0.534 0.740 0.750
0.676 0.525 0.085
0.762 0.492 0.750
0.895 0.569 0.160
```